Structure and simulated powder diffraction line list of Cd3P2 (a PBE-relaxed structure; Cu Kα (weighted mean of Kα1 and Kα2)).
Intensities are scaled so that the largest is 100.

```
Cd3P2
1.0
8.801 0.000 0.000
0.000 8.801 0.000
0.000 0.000 12.327
Cd P
24 16
direct
0.006 0.750 0.100 Cd
0.034 0.750 0.649 Cd
0.037 0.250 0.632 Cd
0.250 0.037 0.132 Cd
0.250 0.463 0.132 Cd
0.250 0.506 0.400 Cd
0.250 0.534 0.851 Cd
0.250 0.966 0.851 Cd
0.250 0.994 0.400 Cd
0.463 0.250 0.632 Cd
0.466 0.750 0.649 Cd
0.494 0.750 0.100 Cd
0.506 0.250 0.900 Cd
0.534 0.250 0.351 Cd
0.537 0.750 0.368 Cd
0.750 0.006 0.600 Cd
0.750 0.034 0.149 Cd
0.750 0.466 0.149 Cd
0.750 0.494 0.600 Cd
0.750 0.537 0.868 Cd
0.750 0.963 0.868 Cd
0.963 0.750 0.368 Cd
0.966 0.250 0.351 Cd
0.994 0.250 0.900 Cd
0.007 0.507 0.250 P
0.007 0.993 0.250 P
0.250 0.250 0.491 P
0.250 0.250 0.991 P
0.250 0.750 0.508 P
0.250 0.750 0.992 P
0.493 0.507 0.250 P
0.493 0.993 0.250 P
0.507 0.007 0.750 P
0.507 0.493 0.750 P
0.750 0.250 0.008 P
0.750 0.250 0.492 P
0.750 0.750 0.009 P
0.750 0.750 0.509 P
0.993 0.007 0.750 P
0.993 0.493 0.750 P
```

Top 10 peaks for 15° ≤ 2θ ≤ 90°, low angle first:
index	Position (°2θ)	d [Å]	I (rel.)
2 1 2	26.88	3.317	34
2 2 0	28.69	3.112	78
0 0 4	28.97	3.082	33
2 0 3	29.75	3.003	50
2 1 3	31.47	2.842	23
3 0 2	33.84	2.649	25
4 0 0	41.02	2.200	57
2 2 4	41.23	2.190	100
4 0 4	51.00	1.791	19
6 2 4	74.87	1.268	20